Starting from a crystal structure in the Materials Project, relaxed with GGA+U, the powder X-ray diffraction pattern of SrTbEuNiO6 was computed for a wavelength of 1.5418 Å.
Peak positions follow from Bragg's law for the DFT cell and can differ from measured ones.

Structural model:
a b c (Å): 5.709 5.709 5.709
angles (deg): 60.00 60.00 60.00
Sites, in units of the cell vectors:
Sr1 0.000 0.000 0.000
Tb1 0.250 0.250 0.250
Eu1 0.500 0.500 0.500
Ni1 0.750 0.750 0.750
O1 0.520 0.520 0.980
O2 0.520 0.980 0.520
O3 0.520 0.980 0.980
O4 0.980 0.520 0.520
O5 0.980 0.520 0.980
O6 0.980 0.980 0.520

Top 10 peaks for 10° ≤ 2θ ≤ 90°, sorted by position:
| d_spacing | 2θ/deg | intensity |
| --- | --- | --- |
| 4.661 | 19.04 | 11.9 |
| 2.854 | 31.34 | 100.0 |
| 2.434 | 36.93 | 9.2 |
| 2.018 | 44.91 | 30.1 |
| 1.852 | 49.19 | 5.1 |
| 1.648 | 55.78 | 38.9 |
| 1.554 | 59.49 | 2.8 |
| 1.427 | 65.39 | 18.1 |
| 1.277 | 74.30 | 17.5 |
| 1.165 | 82.83 | 6.0 |

=====

Starting from a crystal structure in the Materials Project, relaxed with GGA+U, the powder X-ray diffraction pattern of MgFe6O9F3 was computed for a wavelength of 1.5418 Å.
Peak positions follow from Bragg's law for the DFT cell and can differ from measured ones.

Structural model:
a b c (Å): 5.715 5.878 7.177
angles (deg): 70.81 73.75 80.70
Sites, in units of the cell vectors:
Mg1 0.000 0.000 0.000
Fe1 0.315 0.815 0.662
Fe2 0.389 0.749 0.186
Fe3 0.606 0.184 0.837
Fe4 0.639 0.160 0.355
Fe5 0.922 0.560 0.506
Fe6 0.952 0.518 0.005
O1 0.055 0.650 0.198
O2 0.231 0.691 0.472
O3 0.375 0.953 0.887
O4 0.611 0.021 0.121
O5 0.621 0.485 0.166
O6 0.663 0.821 0.521
O7 0.708 0.295 0.551
O8 0.889 0.349 0.816
O9 0.972 0.829 0.813
F1 0.010 0.166 0.194
F2 0.286 0.160 0.487
F3 0.338 0.464 0.865

Top 10 peaks for 10° ≤ 2θ ≤ 90°, sorted by position:
| d_spacing | 2θ/deg | intensity |
| --- | --- | --- |
| 3.749 | 23.73 | 100.0 |
| 3.269 | 27.28 | 95.4 |
| 2.553 | 35.15 | 50.2 |
| 2.531 | 35.47 | 28.0 |
| 2.518 | 35.65 | 54.5 |
| 1.823 | 50.03 | 21.9 |
| 1.810 | 50.43 | 18.5 |
| 1.699 | 53.97 | 19.4 |
| 1.692 | 54.22 | 18.6 |
| 1.480 | 62.77 | 18.0 |